Diffraction record for Pr2SnGe3Rh4. The powder XRD pattern is theoretical, not measured: it uses a crystal structure in Alexandria, relaxed with GGA-PBE and copper Kα.

The 10 most intense peaks (10° ≤ 2θ ≤ 80°), in order of rising 2θ:
| (hkl) | 2θ/deg | I (rel.) |
| --- | --- | --- |
| 1 0 3 | 33.15 | 48.9 |
| 1 1 2 | 34.05 | 100.0 |
| 2 0 0 | 41.83 | 58.6 |
| 1 1 4 | 45.86 | 18.0 |
| 1 0 5 | 48.62 | 23.8 |
| 2 1 3 | 54.38 | 23.7 |
| 2 2 0 | 60.64 | 19.3 |
| 1 1 6 | 61.56 | 11.2 |
| 2 1 5 | 66.03 | 18.7 |
| 3 1 2 | 71.40 | 23.0 |

Atomic structure:
a = 4.3196 Å, b = 4.3196 Å, c = 10.3914 Å
α = 90.00°, β = 90.00°, γ = 90.00°
Fractional positions:
Pr1 0.0000 0.5000 0.2470
Pr2 0.5000 0.0000 0.7530
Sn1 0.0000 0.0000 0.5000
Ge1 0.0000 0.5000 0.8751
Ge2 0.5000 0.0000 0.1249
Ge3 0.5000 0.5000 0.5000
Rh1 0.0000 0.0000 0.0000
Rh2 0.0000 0.5000 0.6401
Rh3 0.5000 0.0000 0.3599
Rh4 0.5000 0.5000 0.0000